Theoretical X-ray powder pattern of TbYNi2Sn for a wavelength of 1.5418 Å, from a DFT-relaxed cell (PBE, OQMD).
Intensities are scaled so that the largest is 100.

Crystal structure
a = 3.655 Å, b = 4.013 Å, c = 13.917 Å
α = 90.00°, β = 90.00°, γ = 90.00°
Space group Amm2 (No. 38)
One atom of each set of equivalent atoms:
Tb: 0.000 0.000 0.000 x2
Y: 0.000 0.000 0.272 x2
Ni: 0.500 0.000 0.439 x2
Ni: 0.500 0.000 0.835 x2
Sn: 0.500 0.000 0.637 x2

Most intense lines, 2θ from 5° to 70°, low angle first:
(hkl)	2theta	I (rel.)
0 1 3	29.43	32.7
1 1 1	33.79	100.0
1 0 4	35.63	61.8
1 1 3	38.56	24.8
0 1 5	39.40	39.4
0 2 0	45.18	25.4
2 0 0	49.90	18.9
1 1 7	57.55	14.1
1 2 4	58.82	32.5
2 1 5	65.36	17.3

***

Theoretical X-ray powder pattern of Tb2YNi4Sn4 for a wavelength of 1.5418 Å, from a DFT-relaxed cell (PBE, OQMD).
Intensities are scaled so that the largest is 100.

Crystal structure
a = 4.405 Å, b = 6.998 Å, c = 14.305 Å
α = 90.00°, β = 90.00°, γ = 90.00°
Space group Immm (No. 71)
One atom of each set of equivalent atoms:
Tb: 0.000 0.000 0.131 x4
Y: 0.000 0.500 0.000 x2
Ni: 0.000 0.191 0.322 x8
Sn: 0.000 0.295 0.500 x4
Sn: 0.000 0.500 0.216 x4

Most intense lines, 2θ from 5° to 70°, low angle first:
(hkl)	2theta	I (rel.)
1 0 3	27.57	15.9
1 2 1	33.30	100.0
0 1 5	33.85	26.8
1 1 4	34.76	91.2
0 0 6	37.73	14.1
2 0 0	40.98	45.4
0 3 3	43.18	21.3
1 2 5	45.84	42.2
2 1 5	54.16	14.0
2 3 3	61.04	14.8

***

Theoretical X-ray powder pattern of TbY2Ni4Sn4 for a wavelength of 1.5418 Å, from a DFT-relaxed cell (PBE, OQMD).
Intensities are scaled so that the largest is 100.

Crystal structure
a = 4.391 Å, b = 7.014 Å, c = 14.259 Å
α = 90.00°, β = 90.00°, γ = 90.00°
Space group Immm (No. 71)
One atom of each set of equivalent atoms:
Tb: 0.000 0.000 0.000 x2
Y: 0.000 0.500 0.131 x4
Ni: 0.000 0.309 0.322 x8
Sn: 0.000 0.000 0.217 x4
Sn: 0.000 0.204 0.500 x4

Most intense lines, 2θ from 5° to 70°, low angle first:
(hkl)	2theta	I (rel.)
1 2 1	33.30	100.0
0 1 5	33.93	27.9
1 1 4	34.85	80.7
0 0 6	37.86	18.7
2 0 0	41.11	43.0
0 3 3	43.12	20.5
1 3 2	45.77	15.7
1 2 5	45.93	40.8
2 1 5	54.33	14.5
2 4 0	68.44	17.6

***

Theoretical X-ray powder pattern of Th3Ni3Sn4 for a wavelength of 1.5418 Å, from a DFT-relaxed cell (PBE, OQMD).
Intensities are scaled so that the largest is 100.

Crystal structure
a = 9.673 Å, b = 9.673 Å, c = 9.673 Å
α = 90.00°, β = 90.00°, γ = 90.00°
Space group I-43d (No. 220)
One atom of each set of equivalent atoms:
Th: 0.000 0.250 0.375 x12
Ni: 0.000 0.250 0.875 x12
Sn: 0.079 0.079 0.079 x16

Most intense lines, 2θ from 5° to 70°, low angle first:
(hkl)	2theta	I (rel.)
2 1 1	22.51	17.1
3 1 0	29.19	69.2
3 2 1	34.70	100.0
4 2 0	41.76	44.9
3 3 2	43.90	17.0
4 2 2	45.96	15.6
4 3 1	47.95	11.1
6 1 1	58.85	27.6
6 2 0	60.53	14.0
5 4 1	62.19	12.4